Theoretical PXRD pattern of LiCo2SbS for Cu Ka, from a structure optimized by DFT (PBE).

Structural model:
```
data_LiCo2SbS
_chemical_formula_sum 'Li1 Co2 Sb1 S1'
_space_group_name_H-M_alt 'P 4/m m m'
_space_group_IT_number 123
_space_group_name_Hall '-P 4 2'
_cell_length_a 4.230
_cell_length_b 4.230
_cell_length_c 4.416
_cell_angle_alpha 90.00
_cell_angle_beta 90.00
_cell_angle_gamma 90.00
loop_
_atom_site_label
_atom_site_type_symbol
_atom_site_fract_x
_atom_site_fract_y
_atom_site_fract_z
Li1 Li 0.000 0.000 0.000
Co1 Co 0.000 0.500 0.500
Sb1 Sb 0.500 0.500 0.000
S1 S 0.000 0.000 0.500
```

Largest 10 diffraction maxima, low angle first, 15° ≤ 2θ ≤ 90°:
| h k l | 2θ (°) | intensity |
| --- | --- | --- |
| 1 0 0 | 21.00 | 273 |
| 1 0 1 | 29.24 | 843 |
| 1 1 1 | 36.28 | 1000 |
| 0 0 2 | 40.87 | 299 |
| 2 0 0 | 42.76 | 523 |
| 2 1 1 | 52.64 | 306 |
| 2 0 2 | 60.63 | 351 |
| 2 2 0 | 62.06 | 163 |
| 3 1 1 | 74.06 | 228 |
| 2 2 2 | 77.02 | 170 |